No. 1
Simulated powder X-ray diffraction pattern of Pu3H4Rh2 for CuKα, from the GGA-PBE geometry in Alexandria.
Neutral-atom scattering factors, no anomalous dispersion.

Cell and atoms:
```
data_Pu3H4Rh2
_space_group_name_H-M_alt 'P 1'
_space_group_IT_number 1
_cell_length_a 6.084
_cell_length_b 6.084
_cell_length_c 6.084
_cell_angle_alpha 141.36
_cell_angle_beta 112.63
_cell_angle_gamma 80.45
loop_
_space_group_symop_operation_xyz
'x,y,z'
loop_
_atom_site_label
_atom_site_type_symbol
_atom_site_fract_x
_atom_site_fract_y
_atom_site_fract_z
Pu1 Pu 0.000 0.000 0.000
Pu2 Pu 0.307 0.807 0.500
Pu3 Pu 0.693 0.193 0.500
H1 H 0.120 0.313 0.807
H2 H 0.493 0.687 0.807
H3 H 0.507 0.313 0.193
H4 H 0.880 0.687 0.193
Rh1 Rh 0.279 0.500 0.779
Rh2 Rh 0.721 0.500 0.221
```

Largest 8 diffraction maxima, sorted by position, 15° ≤ 2θ ≤ 90°:
two_theta	d_spacing	I/Imax
26.41	3.374	26
31.79	2.815	50
32.28	2.773	100
36.05	2.491	69
45.04	2.013	22
50.12	1.820	22
56.18	1.637	21
61.45	1.509	33

No. 2
Simulated powder X-ray diffraction pattern of H5Pt3Pb2 for CuKα, from the GGA-PBE geometry in Alexandria.
Neutral-atom scattering factors, no anomalous dispersion.

Cell and atoms:
```
data_H5Pt3Pb2
_space_group_name_H-M_alt 'P 1'
_space_group_IT_number 1
_cell_length_a 5.664
_cell_length_b 7.487
_cell_length_c 7.502
_cell_angle_alpha 67.14
_cell_angle_beta 77.56
_cell_angle_gamma 77.06
loop_
_space_group_symop_operation_xyz
'x,y,z'
loop_
_atom_site_label
_atom_site_type_symbol
_atom_site_fract_x
_atom_site_fract_y
_atom_site_fract_z
H1 H 0.147 0.420 0.315
H2 H 0.233 0.097 0.182
H3 H 0.268 0.827 0.919
H4 H 0.286 0.644 0.355
H5 H 0.326 0.706 0.598
H6 H 0.674 0.294 0.402
H7 H 0.714 0.356 0.645
H8 H 0.732 0.173 0.081
H9 H 0.767 0.903 0.818
H10 H 0.853 0.580 0.685
Pt1 Pt 0.183 0.636 0.153
Pt2 Pt 0.248 0.035 0.976
Pt3 Pt 0.305 0.863 0.378
Pt4 Pt 0.695 0.137 0.622
Pt5 Pt 0.752 0.965 0.024
Pt6 Pt 0.817 0.364 0.847
Pb1 Pb 0.207 0.124 0.582
Pb2 Pb 0.292 0.430 0.890
Pb3 Pb 0.708 0.570 0.110
Pb4 Pb 0.793 0.876 0.418
```

Largest 8 diffraction maxima, sorted by position, 15° ≤ 2θ ≤ 90°:
two_theta	d_spacing	I/Imax
21.44	4.144	100
32.78	2.732	78
36.82	2.441	52
36.98	2.431	51
38.21	2.355	34
38.91	2.315	37
39.15	2.301	32
43.69	2.072	36

No. 3
Simulated powder X-ray diffraction pattern of Tb4Ga6FeGe6 for CuKα, from the GGA-PBE geometry in Alexandria.
Neutral-atom scattering factors, no anomalous dispersion.

Cell and atoms:
```
data_Tb4Ga6FeGe6
_space_group_name_H-M_alt 'P 1'
_space_group_IT_number 1
_cell_length_a 7.466
_cell_length_b 7.466
_cell_length_c 7.466
_cell_angle_alpha 109.47
_cell_angle_beta 109.47
_cell_angle_gamma 109.47
loop_
_space_group_symop_operation_xyz
'x,y,z'
loop_
_atom_site_label
_atom_site_type_symbol
_atom_site_fract_x
_atom_site_fract_y
_atom_site_fract_z
Tb1 Tb 0.000 0.000 0.500
Tb2 Tb 0.000 0.500 0.000
Tb3 Tb 0.500 0.000 0.000
Tb4 Tb 0.500 0.500 0.500
Ga1 Ga 0.250 0.500 0.750
Ga2 Ga 0.250 0.750 0.500
Ga3 Ga 0.500 0.250 0.750
Ga4 Ga 0.500 0.750 0.250
Ga5 Ga 0.750 0.250 0.500
Ga6 Ga 0.750 0.500 0.250
Fe1 Fe 0.000 0.000 0.000
Ge1 Ge 0.000 0.288 0.288
Ge2 Ge 0.000 0.712 0.712
Ge3 Ge 0.288 0.000 0.288
Ge4 Ge 0.288 0.288 0.000
Ge5 Ge 0.712 0.000 0.712
Ge6 Ge 0.712 0.712 0.000
```

Largest 8 diffraction maxima, sorted by position, 15° ≤ 2θ ≤ 90°:
two_theta	d_spacing	I/Imax
20.61	4.310	10
29.30	3.048	23
36.09	2.489	100
41.92	2.155	57
47.15	1.928	7
60.78	1.524	34
72.77	1.300	32
76.57	1.244	10

No. 4
Simulated powder X-ray diffraction pattern of CoSn6Sb for CuKα, from the GGA-PBE geometry in Alexandria.
Neutral-atom scattering factors, no anomalous dispersion.

Cell and atoms:
```
data_CoSn6Sb
_space_group_name_H-M_alt 'P 1'
_space_group_IT_number 1
_cell_length_a 8.408
_cell_length_b 8.408
_cell_length_c 9.714
_cell_angle_alpha 125.26
_cell_angle_beta 125.26
_cell_angle_gamma 68.19
loop_
_space_group_symop_operation_xyz
'x,y,z'
loop_
_atom_site_label
_atom_site_type_symbol
_atom_site_fract_x
_atom_site_fract_y
_atom_site_fract_z
Co1 Co 0.000 0.500 0.000
Co2 Co 0.500 0.000 0.000
Sn1 Sn 0.128 0.806 0.117
Sn2 Sn 0.194 0.872 0.883
Sn3 Sn 0.196 0.516 0.324
Sn4 Sn 0.294 0.294 0.953
Sn5 Sn 0.395 0.395 0.764
Sn6 Sn 0.484 0.804 0.676
Sn7 Sn 0.516 0.196 0.324
Sn8 Sn 0.605 0.605 0.236
Sn9 Sn 0.706 0.706 0.047
Sn10 Sn 0.804 0.484 0.676
Sn11 Sn 0.806 0.128 0.117
Sn12 Sn 0.872 0.194 0.883
Sb1 Sb 0.000 0.500 0.500
Sb2 Sb 0.500 0.000 0.500
```

Largest 8 diffraction maxima, sorted by position, 15° ≤ 2θ ≤ 90°:
two_theta	d_spacing	I/Imax
28.41	3.141	69
28.99	3.080	77
29.88	2.991	100
34.01	2.636	35
34.27	2.617	62
35.19	2.550	31
45.16	2.008	28
48.23	1.887	48

No. 5
Simulated powder X-ray diffraction pattern of Th6Co2PdC3 for CuKα, from the GGA-PBE geometry in Alexandria.
Neutral-atom scattering factors, no anomalous dispersion.

Cell and atoms:
```
data_Th6Co2PdC3
_space_group_name_H-M_alt 'P 1'
_space_group_IT_number 1
_cell_length_a 8.960
_cell_length_b 8.960
_cell_length_c 8.116
_cell_angle_alpha 108.75
_cell_angle_beta 108.75
_cell_angle_gamma 24.22
loop_
_space_group_symop_operation_xyz
'x,y,z'
loop_
_atom_site_label
_atom_site_type_symbol
_atom_site_fract_x
_atom_site_fract_y
_atom_site_fract_z
Th1 Th 0.009 0.009 0.225
Th2 Th 0.324 0.324 0.430
Th3 Th 0.334 0.334 0.911
Th4 Th 0.666 0.666 0.089
Th5 Th 0.676 0.676 0.570
Th6 Th 0.991 0.991 0.775
Co1 Co 0.162 0.162 0.821
Co2 Co 0.838 0.838 0.179
Pd1 Pd 0.500 0.500 0.500
C1 C 0.167 0.167 0.329
C2 C 0.500 0.500 0.000
C3 C 0.833 0.833 0.671
```

Largest 8 diffraction maxima, sorted by position, 15° ≤ 2θ ≤ 90°:
two_theta	d_spacing	I/Imax
25.98	3.429	22
28.73	3.108	63
32.52	2.753	100
44.89	2.019	35
48.36	1.882	35
55.69	1.651	12
59.49	1.554	18
80.16	1.197	11

No. 6
Simulated powder X-ray diffraction pattern of Ce2Tl2I7 for CuKα, from the GGA-PBE geometry in Alexandria.
Neutral-atom scattering factors, no anomalous dispersion.

Cell and atoms:
```
data_Ce2Tl2I7
_space_group_name_H-M_alt 'P 1'
_space_group_IT_number 1
_cell_length_a 8.391
_cell_length_b 8.391
_cell_length_c 8.038
_cell_angle_alpha 91.49
_cell_angle_beta 91.49
_cell_angle_gamma 69.82
loop_
_space_group_symop_operation_xyz
'x,y,z'
loop_
_atom_site_label
_atom_site_type_symbol
_atom_site_fract_x
_atom_site_fract_y
_atom_site_fract_z
Ce1 Ce 0.237 0.237 0.040
Ce2 Ce 0.763 0.763 0.960
Tl1 Tl 0.242 0.758 0.500
Tl2 Tl 0.758 0.242 0.500
I1 I 0.000 0.000 0.000
I2 I 0.073 0.505 0.749
I3 I 0.438 0.438 0.243
I4 I 0.495 0.927 0.251
I5 I 0.505 0.073 0.749
I6 I 0.562 0.562 0.757
I7 I 0.927 0.495 0.251
```

Largest 8 diffraction maxima, sorted by position, 15° ≤ 2θ ≤ 90°:
two_theta	d_spacing	I/Imax
17.24	5.145	46
21.56	4.122	100
24.70	3.605	36
25.36	3.512	59
25.91	3.439	56
31.53	2.838	72
32.12	2.787	68
33.68	2.661	43

No. 7
Simulated powder X-ray diffraction pattern of NdPuTeSe for CuKα, from the GGA-PBE geometry in Alexandria.
Neutral-atom scattering factors, no anomalous dispersion.

Cell and atoms:
```
data_NdPuTeSe
_space_group_name_H-M_alt 'P 1'
_space_group_IT_number 1
_cell_length_a 7.598
_cell_length_b 7.598
_cell_length_c 7.598
_cell_angle_alpha 32.79
_cell_angle_beta 32.79
_cell_angle_gamma 32.79
loop_
_space_group_symop_operation_xyz
'x,y,z'
loop_
_atom_site_label
_atom_site_type_symbol
_atom_site_fract_x
_atom_site_fract_y
_atom_site_fract_z
Nd1 Nd 0.000 0.000 0.000
Pu1 Pu 0.485 0.485 0.485
Te1 Te 0.240 0.240 0.240
Se1 Se 0.745 0.745 0.745
```

Largest 8 diffraction maxima, sorted by position, 15° ≤ 2θ ≤ 90°:
two_theta	d_spacing	I/Imax
25.36	3.512	12
29.20	3.058	100
41.40	2.181	36
42.13	2.145	38
52.08	1.756	20
68.10	1.377	15
69.14	1.359	17
76.51	1.245	12

No. 8
Simulated powder X-ray diffraction pattern of AgSbPb3 for CuKα, from the GGA-PBE geometry in Alexandria.
Neutral-atom scattering factors, no anomalous dispersion.

Cell and atoms:
```
data_AgSbPb3
_space_group_name_H-M_alt 'P 1'
_space_group_IT_number 1
_cell_length_a 7.328
_cell_length_b 7.328
_cell_length_c 6.884
_cell_angle_alpha 114.77
_cell_angle_beta 114.77
_cell_angle_gamma 82.07
loop_
_space_group_symop_operation_xyz
'x,y,z'
loop_
_atom_site_label
_atom_site_type_symbol
_atom_site_fract_x
_atom_site_fract_y
_atom_site_fract_z
Ag1 Ag 0.246 0.246 0.121
Ag2 Ag 0.754 0.754 0.879
Sb1 Sb 0.046 0.046 0.272
Sb2 Sb 0.954 0.954 0.728
Pb1 Pb 0.000 0.404 0.713
Pb2 Pb 0.000 0.596 0.287
Pb3 Pb 0.404 0.000 0.713
Pb4 Pb 0.440 0.440 0.681
Pb5 Pb 0.560 0.560 0.319
Pb6 Pb 0.596 0.000 0.287
```

Largest 8 diffraction maxima, sorted by position, 15° ≤ 2θ ≤ 90°:
two_theta	d_spacing	I/Imax
26.83	3.323	63
30.77	2.906	48
31.25	2.862	46
32.04	2.793	100
32.96	2.718	53
33.84	2.649	30
36.30	2.475	61
50.32	1.813	27